This entry pairs a crystal structure of Rb2SmAuCl6 with its theoretical powder diffraction line list. Radiation: Cu Kα X-rays. Structure: a structure optimized by DFT (PBE).
Neutral-atom scattering factors, no anomalous dispersion.

Main lines, sorted by position (2θ = 10–80°):
(2 0 0), 16.3 deg, d 5.446, I = 35
(2 2 0), 23.1 deg, d 3.851, I = 100
(4 0 0), 32.9 deg, d 2.723, I = 56
(4 2 0), 36.9 deg, d 2.436, I = 18
(4 2 2), 40.6 deg, d 2.223, I = 48
(4 4 0), 47.2 deg, d 1.925, I = 39
(6 2 0), 53.2 deg, d 1.722, I = 22
(6 4 2), 64.0 deg, d 1.456, I = 26

abc: 10.892 10.892 10.892
angles: 90.00 90.00 90.00
Space group Fm-3m (No. 225)
Asymmetric unit:
Rb 0.250 0.250 0.250
Sm 0.000 0.000 0.000
Au 0.000 0.000 0.500
Cl 0.000 0.000 0.247

This entry pairs a crystal structure of HoBiTe3 with its theoretical powder diffraction line list. Radiation: Cu Kα X-rays. Structure: a structure optimized by DFT (PBE).
Neutral-atom scattering factors, no anomalous dispersion.

Main lines, sorted by position (2θ = 10–80°):
(0 0 6), 16.8 deg, d 5.284, I = 11
(0 1 5), 27.3 deg, d 3.265, I = 100
(1 0 10), 36.9 deg, d 2.437, I = 35
(1 1 0), 41.1 deg, d 2.199, I = 37
(2 0 5), 50.0 deg, d 1.824, I = 19
(0 2 10), 56.4 deg, d 1.632, I = 10
(1 1 15), 60.8 deg, d 1.524, I = 11
(1 2 5), 66.6 deg, d 1.404, I = 16

abc: 4.3974 4.3974 31.7064
angles: 90.00 90.00 120.00
Space group R3m (No. 160, hexagonal axes)
Asymmetric unit:
Ho 0.0000 0.0000 0.0000
Bi 0.0000 0.0000 0.2030
Te 0.0000 0.0000 0.3841
Te 0.0000 0.0000 0.6058
Te 0.0000 0.0000 0.8159

This entry pairs a crystal structure of MnCo4N4 with its theoretical powder diffraction line list. Radiation: Cu Kα X-rays. Structure: a structure optimized by DFT (PBE).
Neutral-atom scattering factors, no anomalous dispersion.

Main lines, sorted by position (2θ = 10–80°):
(1 1 -2), 38.7 deg, d 2.330, I = 60
(1 1 3), 38.9 deg, d 2.313, I = 90
(0 2 0), 39.1 deg, d 2.305, I = 91
(2 0 1), 39.2 deg, d 2.297, I = 100
(1 -1 3), 44.3 deg, d 2.045, I = 90
(-1 1 2), 44.4 deg, d 2.040, I = 68
(2 2 1), 47.2 deg, d 1.926, I = 75
(3 1 4), 67.0 deg, d 1.397, I = 29

abc: 4.794 4.812 7.647
angles: 85.26 71.98 73.35
Space group P-1 (No. 2)
Asymmetric unit:
Mn 0.125 0.196 0.222
Co 0.023 0.769 0.417
Co 0.306 0.759 0.949
Co 0.357 0.260 0.783
Co 0.496 0.719 0.573
N 0.029 0.072 0.838
N 0.173 0.523 0.617
N 0.310 0.368 0.016
N 0.319 0.990 0.392

This entry pairs a crystal structure of KRb2NbF6 with its theoretical powder diffraction line list. Radiation: Cu Kα X-rays. Structure: a structure optimized by DFT (PBE).
Neutral-atom scattering factors, no anomalous dispersion.

Main lines, sorted by position (2θ = 10–80°):
(1 1 1), 16.5 deg, d 5.374, I = 15
(2 2 0), 27.1 deg, d 3.291, I = 100
(2 2 2), 33.3 deg, d 2.687, I = 12
(4 0 0), 38.7 deg, d 2.327, I = 45
(4 2 2), 47.9 deg, d 1.900, I = 39
(4 4 0), 55.9 deg, d 1.645, I = 27
(6 2 0), 63.2 deg, d 1.472, I = 19
(6 4 2), 76.6 deg, d 1.244, I = 21

abc: 9.308 9.308 9.308
angles: 90.00 90.00 90.00
Space group Fm-3m (No. 225)
Asymmetric unit:
K 0.000 0.000 0.000
Rb 0.250 0.250 0.250
Nb 0.000 0.000 0.500
F 0.000 0.000 0.273

This entry pairs a crystal structure of TeMoN with its theoretical powder diffraction line list. Radiation: Cu Kα X-rays. Structure: a structure optimized by DFT (PBE).
Neutral-atom scattering factors, no anomalous dispersion.

Main lines, sorted by position (2θ = 10–80°):
(1 0 2), 31.9 deg, d 2.806, I = 100
(1 1 0), 36.2 deg, d 2.480, I = 54
(1 0 3), 38.6 deg, d 2.331, I = 53
(1 1 2), 41.2 deg, d 2.191, I = 17
(2 0 0), 52.2 deg, d 1.753, I = 23
(1 1 5), 62.1 deg, d 1.494, I = 26
(2 1 2), 62.5 deg, d 1.487, I = 28
(2 1 3), 66.8 deg, d 1.401, I = 21

abc: 3.507 3.507 9.360
angles: 90.00 90.00 90.00
Space group P4/nmm (No. 129, origin choice 2)
Asymmetric unit:
Te 0.250 0.250 0.201
Mo 0.250 0.250 0.612
N 0.250 0.750 0.500

This entry pairs a crystal structure of Sr2NbN2O2 with its theoretical powder diffraction line list. Radiation: Cu Kα X-rays. Structure: a structure optimized by DFT (PBE).
Neutral-atom scattering factors, no anomalous dispersion.

Main lines, sorted by position (2θ = 10–80°):
(0 0 2), 13.6 deg, d 6.504, I = 12
(1 0 3), 30.1 deg, d 2.965, I = 100
(1 1 0), 31.1 deg, d 2.873, I = 69
(0 0 6), 41.7 deg, d 2.168, I = 16
(2 0 0), 44.6 deg, d 2.032, I = 35
(1 1 6), 52.9 deg, d 1.730, I = 22
(2 1 3), 54.8 deg, d 1.676, I = 38
(2 0 6), 62.7 deg, d 1.482, I = 18

abc: 4.063 4.063 13.007
angles: 90.00 90.00 90.00
Space group I4/mmm (No. 139)
Asymmetric unit:
Sr 0.000 0.000 0.148
Nb 0.000 0.000 0.500
N 0.000 0.500 0.000
O 0.000 0.000 0.338

This entry pairs a crystal structure of HgBrO3 with its theoretical powder diffraction line list. Radiation: Cu Kα X-rays. Structure: a structure optimized by DFT (PBE).
Neutral-atom scattering factors, no anomalous dispersion.

Main lines, sorted by position (2θ = 10–80°):
(1 1 0), 19.4 deg, d 4.580, I = 61
(0 0 2), 20.4 deg, d 4.357, I = 34
(3 1 0), 23.7 deg, d 3.747, I = 40
(2 0 2), 24.9 deg, d 3.573, I = 53
(1 1 -2), 27.3 deg, d 3.272, I = 100
(1 1 2), 29.3 deg, d 3.053, I = 34
(8 0 0), 39.1 deg, d 2.302, I = 47
(1 1 4), 47.4 deg, d 1.916, I = 27

abc: 19.190 4.728 9.072
angles: 90.00 106.17 90.00
Space group C2/c (No. 15)
Asymmetric unit:
Hg 0.065 0.028 0.488
Br 0.173 0.436 0.337
O 0.090 0.425 0.802
O 0.171 0.152 0.458
O 0.177 0.281 0.174